Simulated X-ray diffraction stick pattern of ScCdCuPt for Cu Kα, 1.54184 Å, from a crystal structure in Alexandria, relaxed with PBE.
Neutral-atom scattering factors, no anomalous dispersion.

Largest 10 diffraction maxima, in order of rising 2θ, 10° ≤ 2θ ≤ 90°:
(1 1 1), 3.763 Å, 2θ 23.64, I 27; (2 0 0), 3.259 Å, 2θ 27.37, I 7; (2 2 0), 2.304 Å, 2θ 39.09, I 100; (3 1 1), 1.965 Å, 2θ 46.20, I 14; (4 0 0), 1.629 Å, 2θ 56.48, I 17; (3 3 1), 1.495 Å, 2θ 62.07, I 6; (4 2 2), 1.330 Å, 2θ 70.83, I 33; (5 1 1), 1.254 Å, 2θ 75.85, I 5; (4 4 0), 1.152 Å, 2θ 84.00, I 10; (5 3 1), 1.102 Å, 2θ 88.82, I 5

Cell and atoms:
```
data_ScCdCuPt
_cell_length_a 6.5174
_cell_length_b 6.5174
_cell_length_c 6.5174
_cell_angle_alpha 90.00
_cell_angle_beta 90.00
_cell_angle_gamma 90.00
_space_group_name_H-M_alt 'F -4 3 m'
_space_group_IT_number 216
_space_group_name_Hall 'F -4 2 3'
loop_
_atom_site_label
_atom_site_type_symbol
_atom_site_fract_x
_atom_site_fract_y
_atom_site_fract_z
Sc1 Sc 0.0000 0.0000 0.0000
Cd1 Cd 0.0000 0.0000 0.5000
Cu1 Cu 0.2500 0.2500 0.2500
Pt1 Pt 0.2500 0.2500 0.7500
```



Simulated X-ray diffraction stick pattern of Li2V3Cl8 for Cu Kα, 1.54184 Å, from a crystal structure in Alexandria, relaxed with PBE.
Neutral-atom scattering factors, no anomalous dispersion.

Largest 10 diffraction maxima, in order of rising 2θ, 10° ≤ 2θ ≤ 90°:
(0 2 1), 5.977 Å, 2θ 14.82, I 77; (1 1 1), 5.592 Å, 2θ 15.85, I 30; (2 2 1), 3.149 Å, 2θ 28.35, I 22; (2 0 2), 3.030 Å, 2θ 29.48, I 15; (0 4 2), 2.988 Å, 2θ 29.90, I 15; (0 0 4), 2.632 Å, 2θ 34.06, I 51; (2 4 0), 2.592 Å, 2θ 34.60, I 100; (4 0 0), 1.852 Å, 2θ 49.20, I 21; (2 4 4), 1.847 Å, 2θ 49.34, I 66; (0 8 0), 1.815 Å, 2θ 50.28, I 16

Cell and atoms:
```
data_Li2V3Cl8
_cell_length_a 7.4084
_cell_length_b 14.5184
_cell_length_c 10.5298
_cell_angle_alpha 90.00
_cell_angle_beta 90.00
_cell_angle_gamma 90.00
_space_group_name_H-M_alt 'C m c e'
_space_group_IT_number 64
_space_group_name_Hall '-C 2ac 2'
loop_
_atom_site_label
_atom_site_type_symbol
_atom_site_fract_x
_atom_site_fract_y
_atom_site_fract_z
Li1 Li 0.0000 0.1340 0.1088
V1 V 0.0000 0.0000 0.5000
V2 V 0.2500 0.1284 0.7500
Cl1 Cl 0.0000 0.0067 0.7400
Cl2 Cl 0.0000 0.2403 0.7569
Cl3 Cl 0.2350 0.1200 0.5157
```



Question: What is the formula in the first record?
Answer: ScCdCuPt